Record 1
Starting from a PBE-relaxed structure, the powder X-ray diffraction pattern of KSb2IrO8 was calculated for Cu Kα X-rays.
Neutral-atom scattering factors, no anomalous dispersion.

Largest 12 diffraction maxima, in order of rising 2θ, 2θ from 15° to 90°:
(0 1 1), 2θ 22.5, I 32
(1 1 0), 2θ 23.0, I 25
(1 0 -1), 2θ 25.1, I 100
(1 0 1), 2θ 26.7, I 82
(0 2 1), 2θ 32.8, I 69
(1 2 0), 2θ 33.2, I 90
(0 0 2), 2θ 36.3, I 29
(1 2 -2), 2θ 49.1, I 33
(2 2 -1), 2θ 49.9, I 38
(1 2 2), 2θ 50.9, I 26
(2 2 1), 2θ 51.7, I 31
(0 2 3), 2θ 63.2, I 20

```
data_KSb2IrO8
_cell_length_a 4.7897
_cell_length_b 6.5376
_cell_length_c 4.9548
_cell_angle_alpha 90.00
_cell_angle_beta 93.48
_cell_angle_gamma 90.00
_space_group_name_H-M_alt 'P 1 2/m 1'
_space_group_IT_number 10
_space_group_name_Hall '-P 2y'
loop_
_atom_site_label
_atom_site_type_symbol
_atom_site_fract_x
_atom_site_fract_y
_atom_site_fract_z
K1 K 0.0000 0.0000 0.0000
Sb1 Sb 0.5000 0.2480 0.5000
Ir1 Ir 0.0000 0.5000 0.0000
O1 O 0.2553 0.2957 0.1642
O2 O 0.2574 0.5000 0.6747
O3 O 0.2842 0.0000 0.6189
```

Record 2
Starting from a PBE-relaxed structure, the powder X-ray diffraction pattern of KSmIr2O8 was calculated for Cu Kα X-rays.
Neutral-atom scattering factors, no anomalous dispersion.

Largest 12 diffraction maxima, in order of rising 2θ, 2θ from 15° to 90°:
(0 1 1), 2θ 20.6, I 100
(1 0 2), 2θ 28.7, I 36
(1 1 0), 2θ 29.7, I 43
(2 0 1), 2θ 36.4, I 12
(1 0 3), 2θ 38.9, I 11
(0 2 2), 2θ 41.8, I 19
(1 1 3), 2θ 46.3, I 8
(1 2 1), 2θ 47.7, I 21
(2 1 2), 2θ 52.2, I 14
(3 0 0), 2θ 52.8, I 9
(1 1 4), 2θ 56.5, I 10
(3 1 1), 2θ 65.9, I 8

```
data_KSmIr2O8
_cell_length_a 6.0061
_cell_length_b 6.0061
_cell_length_c 7.7538
_cell_angle_alpha 90.00
_cell_angle_beta 90.00
_cell_angle_gamma 120.00
_space_group_name_H-M_alt 'P -3 m 1'
_space_group_IT_number 164
_space_group_name_Hall '-P 3 2"'
loop_
_atom_site_label
_atom_site_type_symbol
_atom_site_fract_x
_atom_site_fract_y
_atom_site_fract_z
K1 K 0.0000 0.0000 0.0000
Sm1 Sm 0.0000 0.0000 0.5000
Ir1 Ir 0.3333 0.6667 0.7806
O1 O 0.1701 0.3403 0.6894
O2 O 0.3333 0.6667 0.0101
```

Record 3
Starting from a PBE-relaxed structure, the powder X-ray diffraction pattern of KSmIrO4 was calculated for Cu Kα X-rays.
Neutral-atom scattering factors, no anomalous dispersion.

Largest 12 diffraction maxima, in order of rising 2θ, 2θ from 15° to 90°:
(0 1 1), 2θ 15.5, I 99
(1 0 1), 2θ 16.5, I 45
(1 2 1), 2θ 29.5, I 38
(0 2 2), 2θ 31.2, I 100
(0 1 3), 2θ 31.6, I 24
(1 0 3), 2θ 32.1, I 20
(2 0 2), 2θ 33.3, I 35
(2 2 0), 2θ 36.6, I 45
(0 0 4), 2θ 39.1, I 20
(2 3 1), 2θ 47.3, I 24
(2 2 4), 2θ 54.6, I 40
(2 4 2), 2θ 61.3, I 17

```
data_KSmIrO4
_cell_length_a 6.6321
_cell_length_b 7.3158
_cell_length_c 9.2146
_cell_angle_alpha 90.00
_cell_angle_beta 90.00
_cell_angle_gamma 90.00
_space_group_name_H-M_alt 'I m m a'
_space_group_IT_number 74
_space_group_name_Hall '-I 2b 2'
loop_
_atom_site_label
_atom_site_type_symbol
_atom_site_fract_x
_atom_site_fract_y
_atom_site_fract_z
K1 K 0.0000 0.2500 0.1392
Sm1 Sm 0.0000 0.0000 0.5000
Ir1 Ir 0.2500 0.2500 0.7500
O1 O 0.0000 0.0797 0.7514
O2 O 0.2159 0.2500 0.5273
```

Record 4
Starting from a PBE-relaxed structure, the powder X-ray diffraction pattern of KTb2IrO8 was calculated for Cu Kα X-rays.
Neutral-atom scattering factors, no anomalous dispersion.

Largest 12 diffraction maxima, in order of rising 2θ, 2θ from 15° to 90°:
(1 0 1), 2θ 22.7, I 47
(1 1 0), 2θ 27.9, I 68
(1 -1 0), 2θ 28.2, I 51
(1 0 2), 2θ 29.4, I 80
(0 1 -2), 2θ 30.8, I 100
(1 1 -1), 2θ 33.2, I 29
(-1 1 1), 2θ 33.4, I 37
(0 2 0), 2θ 33.9, I 63
(1 0 -2), 2θ 38.6, I 26
(0 1 3), 2θ 42.6, I 30
(1 2 2), 2θ 45.2, I 36
(1 -2 2), 2θ 45.7, I 32

```
data_KTb2IrO8
_cell_length_a 4.1200
_cell_length_b 5.2933
_cell_length_c 7.2006
_cell_angle_alpha 89.70
_cell_angle_beta 74.91
_cell_angle_gamma 89.38
_space_group_name_H-M_alt 'P -1'
_space_group_IT_number 2
_space_group_name_Hall '-P 1'
loop_
_atom_site_label
_atom_site_type_symbol
_atom_site_fract_x
_atom_site_fract_y
_atom_site_fract_z
K1 K 0.0000 0.0000 0.0000
Tb1 Tb 0.3797 0.5138 0.2874
Ir1 Ir 0.0000 0.0000 0.5000
O1 O 0.1783 0.4951 0.0030
O2 O 0.1867 0.3148 0.5861
O3 O 0.2018 0.7770 0.6400
O4 O 0.3582 0.9554 0.2698
```

Record 5
Starting from a PBE-relaxed structure, the powder X-ray diffraction pattern of KUIrO6 was calculated for Cu Kα X-rays.
Neutral-atom scattering factors, no anomalous dispersion.

Largest 12 diffraction maxima, in order of rising 2θ, 2θ from 15° to 90°:
(1 2 1), 2θ 27.1, I 84
(0 1 3), 2θ 27.5, I 32
(1 0 3), 2θ 27.9, I 38
(0 2 2), 2θ 28.2, I 100
(2 1 1), 2θ 28.3, I 58
(2 0 2), 2θ 29.7, I 87
(0 0 4), 2θ 33.6, I 52
(2 2 4), 2θ 48.2, I 64
(4 0 0), 2θ 50.2, I 26
(2 4 2), 2θ 55.8, I 31
(0 4 4), 2θ 58.2, I 21
(4 2 2), 2θ 58.6, I 27

```
data_KUIrO6
_cell_length_a 7.2680
_cell_length_b 7.8752
_cell_length_c 10.6880
_cell_angle_alpha 90.00
_cell_angle_beta 90.00
_cell_angle_gamma 90.00
_space_group_name_H-M_alt 'I m m a'
_space_group_IT_number 74
_space_group_name_Hall '-I 2b 2'
loop_
_atom_site_label
_atom_site_type_symbol
_atom_site_fract_x
_atom_site_fract_y
_atom_site_fract_z
K1 K 0.0000 0.2500 0.1149
U1 U 0.0000 0.0000 0.5000
Ir1 Ir 0.2500 0.2500 0.7500
O1 O 0.0000 0.2500 0.4218
O2 O 0.0000 0.2500 0.7993
O3 O 0.2042 0.0712 0.6231
```

Repeat the fourth record exactly.
Starting from a PBE-relaxed structure, the powder X-ray diffraction pattern of KTb2IrO8 was calculated for Cu Kα X-rays.
Neutral-atom scattering factors, no anomalous dispersion.

Largest 12 diffraction maxima, in order of rising 2θ, 2θ from 15° to 90°:
(1 0 1), 2θ 22.7, I 47
(1 1 0), 2θ 27.9, I 68
(1 -1 0), 2θ 28.2, I 51
(1 0 2), 2θ 29.4, I 80
(0 1 -2), 2θ 30.8, I 100
(1 1 -1), 2θ 33.2, I 29
(-1 1 1), 2θ 33.4, I 37
(0 2 0), 2θ 33.9, I 63
(1 0 -2), 2θ 38.6, I 26
(0 1 3), 2θ 42.6, I 30
(1 2 2), 2θ 45.2, I 36
(1 -2 2), 2θ 45.7, I 32

```
data_KTb2IrO8
_cell_length_a 4.1200
_cell_length_b 5.2933
_cell_length_c 7.2006
_cell_angle_alpha 89.70
_cell_angle_beta 74.91
_cell_angle_gamma 89.38
_space_group_name_H-M_alt 'P -1'
_space_group_IT_number 2
_space_group_name_Hall '-P 1'
loop_
_atom_site_label
_atom_site_type_symbol
_atom_site_fract_x
_atom_site_fract_y
_atom_site_fract_z
K1 K 0.0000 0.0000 0.0000
Tb1 Tb 0.3797 0.5138 0.2874
Ir1 Ir 0.0000 0.0000 0.5000
O1 O 0.1783 0.4951 0.0030
O2 O 0.1867 0.3148 0.5861
O3 O 0.2018 0.7770 0.6400
O4 O 0.3582 0.9554 0.2698
```